For SmLuRu2, a PBE-relaxed structure gives the calculated X-ray powder pattern in this record (λ = 1.5418 Å (Cu Kα)).
No peak broadening, texture or thermal motion is included.

Main lines, sorted by position (2θ from 10° to 90°):
2theta	I/Imax
26.27	6
37.49	100
46.36	2
54.07	17
61.08	3
67.65	35
80.00	11
85.96	1

Atomic structure:
abc: 4.797 4.797 4.797
angles: 60.00 60.00 60.00
Element x y z (fractional)
Sm 0.000 0.000 0.000
Lu 0.500 0.500 0.500
Ru 0.250 0.250 0.250
Ru 0.750 0.750 0.750

***

For LuSnRu2, a PBE-relaxed structure gives the calculated X-ray powder pattern in this record (λ = 1.5418 Å (Cu Kα)).
No peak broadening, texture or thermal motion is included.

Main lines, sorted by position (2θ from 10° to 90°):
2theta	I/Imax
23.53	3
27.24	4
38.91	100
45.97	1
48.14	1
56.19	17
63.55	2
70.45	35
83.53	11
89.89	1

Atomic structure:
abc: 4.630 4.630 4.630
angles: 60.00 60.00 60.00
Element x y z (fractional)
Lu 0.000 0.000 0.000
Sn 0.500 0.500 0.500
Ru 0.250 0.250 0.250
Ru 0.750 0.750 0.750

***

For LuTaRu2, a PBE-relaxed structure gives the calculated X-ray powder pattern in this record (λ = 1.5418 Å (Cu Kα)).
No peak broadening, texture or thermal motion is included.

Main lines, sorted by position (2θ from 10° to 90°):
2theta	I/Imax
27.53	8
39.32	100
48.67	3
56.82	17
64.28	3
71.29	35
84.58	11

Atomic structure:
abc: 4.583 4.583 4.583
angles: 60.00 60.00 60.00
Element x y z (fractional)
Lu 0.000 0.000 0.000
Ta 0.500 0.500 0.500
Ru 0.250 0.250 0.250
Ru 0.750 0.750 0.750

***

For YLuRu2, a PBE-relaxed structure gives the calculated X-ray powder pattern in this record (λ = 1.5418 Å (Cu Kα)).
No peak broadening, texture or thermal motion is included.

Main lines, sorted by position (2θ from 10° to 90°):
2theta	I/Imax
22.82	7
26.41	2
37.70	100
44.53	4
54.38	17
59.72	2
68.06	35
72.82	1
80.51	11
85.03	1

Atomic structure:
abc: 4.772 4.772 4.772
angles: 60.00 60.00 60.00
Element x y z (fractional)
Y 0.000 0.000 0.000
Lu 0.500 0.500 0.500
Ru 0.250 0.250 0.250
Ru 0.750 0.750 0.750

***

For LuZrRu2, a PBE-relaxed structure gives the calculated X-ray powder pattern in this record (λ = 1.5418 Å (Cu Kα)).
No peak broadening, texture or thermal motion is included.

Main lines, sorted by position (2θ from 10° to 90°):
2theta	I/Imax
23.31	7
26.98	2
38.53	100
45.52	4
55.63	17
61.12	2
69.70	34
74.62	1
82.58	11
87.28	1

Atomic structure:
abc: 4.673 4.673 4.673
angles: 60.00 60.00 60.00
Element x y z (fractional)
Lu 0.000 0.000 0.000
Zr 0.500 0.500 0.500
Ru 0.250 0.250 0.250
Ru 0.750 0.750 0.750

***

For Lu2S3, a PBE-relaxed structure gives the calculated X-ray powder pattern in this record (λ = 1.5418 Å (Cu Kα)).
No peak broadening, texture or thermal motion is included.

Main lines, sorted by position (2θ from 10° to 90°):
2theta	I/Imax
26.73	100
34.69	59
34.79	25
41.35	51
49.89	23
50.01	11
52.55	22
57.49	15
71.09	12
87.71	14

Atomic structure:
abc: 13.526 13.526 13.526
angles: 144.80 144.80 50.63
Element x y z (fractional)
Lu 0.050 0.148 0.621
Lu 0.164 0.164 0.000
Lu 0.179 0.777 0.879
Lu 0.223 0.102 0.402
Lu 0.258 0.625 0.133
Lu 0.375 0.508 0.633
Lu 0.492 0.125 0.867
Lu 0.527 0.429 0.379
Lu 0.571 0.950 0.098
Lu 0.586 0.086 0.500
Lu 0.700 0.821 0.598
Lu 0.836 0.836 0.000
Lu 0.852 0.473 0.902
Lu 0.875 0.742 0.367
Lu 0.898 0.300 0.121
Lu 0.914 0.414 0.500
S 0.075 0.458 0.246
S 0.171 0.925 0.383
S 0.190 0.445 0.099
S 0.195 0.440 0.599
S 0.208 0.325 0.746
S 0.211 0.829 0.754
S 0.248 0.127 0.245
S 0.346 0.091 0.901
S 0.404 0.805 0.245
S 0.502 0.247 0.379
S 0.539 0.792 0.117
S 0.542 0.789 0.617
S 0.555 0.654 0.745
S 0.560 0.159 0.755
S 0.579 0.461 0.254
S 0.675 0.421 0.883
S 0.753 0.132 0.255
S 0.841 0.596 0.401
S 0.868 0.123 0.621
S 0.873 0.118 0.121
S 0.877 0.498 0.745
S 0.882 0.003 0.755
S 0.909 0.810 0.255
S 0.997 0.752 0.879

***

For Lu2S3, a PBE-relaxed structure gives the calculated X-ray powder pattern in this record (λ = 1.5418 Å (Cu Kα)).
No peak broadening, texture or thermal motion is included.

Main lines, sorted by position (2θ from 10° to 90°):
2theta	I/Imax
14.34	100
16.07	48
22.61	98
27.04	32
27.80	34
28.29	37
28.71	62
31.76	57
38.92	37
41.22	51

Atomic structure:
abc: 7.250 7.250 7.102
angles: 113.31 113.31 61.91
Element x y z (fractional)
Lu 0.055 0.268 0.092
Lu 0.268 0.055 0.592
Lu 0.732 0.945 0.408
Lu 0.945 0.732 0.908
S 0.065 0.935 0.750
S 0.257 0.365 0.933
S 0.365 0.257 0.433
S 0.635 0.743 0.567
S 0.743 0.635 0.067
S 0.935 0.065 0.250

***

For Lu2S3, a PBE-relaxed structure gives the calculated X-ray powder pattern in this record (λ = 1.5418 Å (Cu Kα)).
No peak broadening, texture or thermal motion is included.

Main lines, sorted by position (2θ from 10° to 90°):
2theta	I/Imax
17.98	27
19.25	22
24.61	64
26.44	100
32.92	33
36.43	30
39.69	86
45.58	29
46.68	47
62.89	21

Atomic structure:
abc: 6.741 6.741 18.441
angles: 90.00 90.00 120.00
Element x y z (fractional)
Lu 0.000 0.000 0.000
Lu 0.000 0.000 0.201
Lu 0.000 0.000 0.500
Lu 0.000 0.000 0.701
Lu 0.333 0.667 0.033
Lu 0.333 0.667 0.334
Lu 0.333 0.667 0.533
Lu 0.333 0.667 0.834
Lu 0.667 0.333 0.033
Lu 0.667 0.333 0.334
Lu 0.667 0.333 0.533
Lu 0.667 0.333 0.834
S 0.000 0.303 0.095
S 0.000 0.344 0.764
S 0.000 0.365 0.437
S 0.000 0.635 0.937
S 0.000 0.656 0.264
S 0.000 0.697 0.595
S 0.303 0.000 0.095
S 0.303 0.303 0.595
S 0.344 0.000 0.764
S 0.344 0.344 0.264
S 0.365 0.000 0.437
S 0.365 0.365 0.937
S 0.635 0.000 0.937
S 0.635 0.635 0.437
S 0.656 0.000 0.264
S 0.656 0.656 0.764
S 0.697 0.000 0.595
S 0.697 0.697 0.095